(1)
Structure and theoretical X-ray diffraction stick pattern of Ca3SnAs2Pd9 (a DFT-relaxed cell (GGA-PBE, Alexandria); λ = 1.5418 Å (Cu Kα)).
Peak positions follow from Bragg's law for the DFT cell and can differ from measured ones.

Crystal structure
a = 6.4784 Å, b = 6.4784 Å, c = 9.3020 Å
α = 90.00°, β = 90.00°, γ = 120.00°
Space group P-3m1 (No. 164)
Asymmetric unit:
Ca 0.0000 0.0000 0.0000 x1
Ca 0.3333 0.6667 0.7234 x2
Sn 0.0000 0.0000 0.5000 x1
As 0.3333 0.6667 0.1717 x2
Pd 0.0000 0.5000 0.0000 x3
Pd 0.1415 0.2831 0.2736 x6

Main lines, by intensity (10 to 90 degrees two-theta):
2θ 37.4, intensity 100
2θ 18.5, intensity 68
2θ 33.4, intensity 48
2θ 56.8, intensity 26
2θ 43.8, intensity 24
2θ 43.5, intensity 24
2θ 38.7, intensity 20
2θ 70.9, intensity 17
2θ 40.3, intensity 14
2θ 59.6, intensity 14



(2)
Structure and theoretical X-ray diffraction stick pattern of CaPr3As4 (a DFT-relaxed cell (GGA-PBE, Alexandria); λ = 1.5418 Å (Cu Kα)).
Peak positions follow from Bragg's law for the DFT cell and can differ from measured ones.

Crystal structure
a = 6.0744 Å, b = 6.0744 Å, c = 6.0744 Å
α = 90.00°, β = 90.00°, γ = 90.00°
Space group Pm-3m (No. 221)
Asymmetric unit:
Ca 0.0000 0.0000 0.0000 x1
Pr 0.0000 0.5000 0.5000 x3
As 0.0000 0.0000 0.5000 x3
As 0.5000 0.5000 0.5000 x1

Main lines, by intensity (10 to 90 degrees two-theta):
2θ 29.4, intensity 100
2θ 42.1, intensity 75
2θ 69.2, intensity 34
2θ 52.2, intensity 26
2θ 76.9, intensity 25
2θ 61.0, intensity 12
2θ 14.6, intensity 8
2θ 25.4, intensity 8
2θ 20.7, intensity 8
2θ 33.0, intensity 5



(3)
Structure and theoretical X-ray diffraction stick pattern of CaPrAsSe (a DFT-relaxed cell (GGA-PBE, Alexandria); λ = 1.5418 Å (Cu Kα)).
Peak positions follow from Bragg's law for the DFT cell and can differ from measured ones.

Crystal structure
a = 4.2940 Å, b = 4.2940 Å, c = 20.9453 Å
α = 90.00°, β = 90.00°, γ = 120.00°
Space group R3m (No. 160, hexagonal axes)
Asymmetric unit:
Ca 0.0000 0.0000 0.0000 x3
Pr 0.0000 0.0000 0.5074 x3
As 0.0000 0.0000 0.2515 x3
Se 0.0000 0.0000 0.7514 x3

Main lines, by intensity (10 to 90 degrees two-theta):
2θ 29.5, intensity 100
2θ 42.1, intensity 37
2θ 42.2, intensity 36
2θ 52.2, intensity 20
2θ 12.7, intensity 19
2θ 77.0, intensity 18
2θ 69.2, intensity 17
2θ 69.4, intensity 16
2θ 24.3, intensity 14
2θ 61.1, intensity 12



(4)
Structure and theoretical X-ray diffraction stick pattern of CaPrSm2As4 (a DFT-relaxed cell (GGA-PBE, Alexandria); λ = 1.5418 Å (Cu Kα)).
Peak positions follow from Bragg's law for the DFT cell and can differ from measured ones.

Crystal structure
a = 6.0000 Å, b = 6.0000 Å, c = 12.0349 Å
α = 90.00°, β = 90.00°, γ = 90.00°
Space group I4/mmm (No. 139)
Asymmetric unit:
Ca 0.0000 0.0000 0.0000 x2
Pr 0.0000 0.0000 0.5000 x2
Sm 0.0000 0.5000 0.2500 x4
As 0.0000 0.0000 0.2518 x4
As 0.0000 0.5000 0.0000 x4

Main lines, by intensity (10 to 90 degrees two-theta):
2θ 29.8, intensity 100
2θ 42.6, intensity 75
2θ 52.8, intensity 26
2θ 70.1, intensity 22
2θ 78.0, intensity 17
2θ 70.0, intensity 11
2θ 25.7, intensity 9
2θ 16.5, intensity 9
2θ 77.8, intensity 8
2θ 61.9, intensity 8



(5)
Structure and theoretical X-ray diffraction stick pattern of Ca2AsPt3 (a DFT-relaxed cell (GGA-PBE, Alexandria); λ = 1.5418 Å (Cu Kα)).
Peak positions follow from Bragg's law for the DFT cell and can differ from measured ones.

Crystal structure
a = 5.5890 Å, b = 5.5890 Å, c = 12.6768 Å
α = 90.00°, β = 90.00°, γ = 120.00°
Space group R-3m (No. 166, hexagonal axes)
Asymmetric unit:
Ca 0.0000 0.0000 0.1244 x6
As 0.0000 0.0000 0.5000 x3
Pt 0.0000 0.5000 0.0000 x9

Main lines, by intensity (10 to 90 degrees two-theta):
2θ 39.9, intensity 100
2θ 37.8, intensity 84
2θ 21.0, intensity 75
2θ 19.6, intensity 60
2θ 38.6, intensity 55
2θ 47.3, intensity 47
2θ 71.1, intensity 41
2θ 67.0, intensity 27
2θ 42.8, intensity 27
2θ 40.2, intensity 25



(6)
Structure and theoretical X-ray diffraction stick pattern of Ca2AsPt2 (a DFT-relaxed cell (GGA-PBE, Alexandria); λ = 1.5418 Å (Cu Kα)).
Peak positions follow from Bragg's law for the DFT cell and can differ from measured ones.

Crystal structure
a = 4.4119 Å, b = 5.5534 Å, c = 8.7007 Å
α = 90.00°, β = 90.00°, γ = 90.00°
Space group Immm (No. 71)
Asymmetric unit:
Ca 0.0000 0.0000 0.1937 x4
As 0.0000 0.5000 0.0000 x2
Pt 0.0000 0.2572 0.5000 x4

Main lines, by intensity (10 to 90 degrees two-theta):
2θ 39.7, intensity 100
2θ 20.4, intensity 88
2θ 22.6, intensity 67
2θ 37.1, intensity 36
2θ 50.0, intensity 33
2θ 38.5, intensity 31
2θ 40.9, intensity 29
2θ 66.9, intensity 27
2θ 46.1, intensity 22
2θ 41.5, intensity 21



(7)
Structure and theoretical X-ray diffraction stick pattern of Ca2TiAs4Pt3 (a DFT-relaxed cell (GGA-PBE, Alexandria); λ = 1.5418 Å (Cu Kα)).
Peak positions follow from Bragg's law for the DFT cell and can differ from measured ones.

Crystal structure
a = 4.2501 Å, b = 4.2501 Å, c = 10.8913 Å
α = 90.00°, β = 90.00°, γ = 90.00°
Space group P-4m2 (No. 115)
Asymmetric unit:
Ca 0.0000 0.5000 0.2426 x2
Ti 0.0000 0.0000 0.5000 x1
As 0.0000 0.0000 0.0000 x1
As 0.0000 0.5000 0.6358 x2
As 0.5000 0.5000 0.0000 x1
Pt 0.0000 0.5000 0.8635 x2
Pt 0.5000 0.5000 0.5000 x1

Main lines, by intensity (10 to 90 degrees two-theta):
2θ 22.5, intensity 100
2θ 44.9, intensity 91
2θ 34.1, intensity 88
2θ 42.5, intensity 80
2θ 32.4, intensity 53
2θ 46.9, intensity 41
2θ 79.5, intensity 36
2θ 26.6, intensity 36
2θ 65.1, intensity 30
2θ 48.6, intensity 27



(8)
Structure and theoretical X-ray diffraction stick pattern of Ca5PuAs5 (a DFT-relaxed cell (GGA-PBE, Alexandria); λ = 1.5418 Å (Cu Kα)).
Peak positions follow from Bragg's law for the DFT cell and can differ from measured ones.

Crystal structure
a = 13.6701 Å, b = 5.8534 Å, c = 8.4300 Å
α = 90.00°, β = 108.43°, γ = 90.00°
Space group C2/m (No. 12)
Asymmetric unit:
Ca 0.0000 0.0000 0.0000 x2
Ca 0.1801 0.5000 0.3577 x4
Ca 0.1881 0.5000 0.8254 x4
Pu 0.0000 0.0000 0.5000 x2
As 0.0000 0.5000 0.5000 x2
As 0.1480 0.0000 0.3280 x4
As 0.1586 0.0000 0.8241 x4

Main lines, by intensity (10 to 90 degrees two-theta):
2θ 11.1, intensity 100
2θ 16.6, intensity 96
2θ 29.5, intensity 96
2θ 42.9, intensity 91
2θ 30.5, intensity 89
2θ 29.7, intensity 85
2θ 43.1, intensity 62
2θ 14.6, intensity 47
2θ 53.6, intensity 34
2θ 52.6, intensity 29



(9)
Structure and theoretical X-ray diffraction stick pattern of CaPu2As3 (a DFT-relaxed cell (GGA-PBE, Alexandria); λ = 1.5418 Å (Cu Kα)).
Peak positions follow from Bragg's law for the DFT cell and can differ from measured ones.

Crystal structure
a = 4.1704 Å, b = 5.8454 Å, c = 12.5169 Å
α = 90.00°, β = 90.00°, γ = 90.00°
Space group Immm (No. 71)
Asymmetric unit:
Ca 0.0000 0.0000 0.0000 x2
Pu 0.0000 0.0000 0.3364 x4
As 0.0000 0.5000 0.0000 x2
As 0.0000 0.5000 0.3214 x4

Main lines, by intensity (10 to 90 degrees two-theta):
2θ 30.3, intensity 100
2θ 43.6, intensity 75
2θ 30.6, intensity 49
2θ 54.0, intensity 41
2θ 26.2, intensity 40
2θ 43.4, intensity 37
2θ 16.7, intensity 32
2θ 79.8, intensity 25
2θ 14.2, intensity 20
2θ 71.7, intensity 18



(10)
Structure and theoretical X-ray diffraction stick pattern of Ca2PuScAs4 (a DFT-relaxed cell (GGA-PBE, Alexandria); λ = 1.5418 Å (Cu Kα)).
Peak positions follow from Bragg's law for the DFT cell and can differ from measured ones.

Crystal structure
a = 7.0455 Å, b = 4.1406 Å, c = 7.1794 Å
α = 90.00°, β = 109.36°, γ = 90.00°
Space group P2/m (No. 10)
Asymmetric unit:
Ca 0.0000 0.0000 0.0000 x1
Ca 0.5000 0.5000 0.0000 x1
Pu 0.0000 0.5000 0.5000 x1
Sc 0.5000 0.0000 0.5000 x1
As 0.2467 0.0000 0.7265 x2
As 0.2611 0.5000 0.2765 x2

Main lines, by intensity (10 to 90 degrees two-theta):
2θ 30.6, intensity 100
2θ 43.7, intensity 54
2θ 30.8, intensity 49
2θ 13.1, intensity 46
2θ 44.3, intensity 36
2θ 13.3, intensity 24
2θ 25.2, intensity 19
2θ 15.3, intensity 19
2θ 54.4, intensity 19
2θ 44.1, intensity 17



(11)
Structure and theoretical X-ray diffraction stick pattern of Ca2ReAs (a DFT-relaxed cell (GGA-PBE, Alexandria); λ = 1.5418 Å (Cu Kα)).
Peak positions follow from Bragg's law for the DFT cell and can differ from measured ones.

Crystal structure
a = 3.3429 Å, b = 3.3429 Å, c = 8.5516 Å
α = 90.00°, β = 90.00°, γ = 90.00°
Space group P4mm (No. 99)
Asymmetric unit:
Ca 0.0000 0.0000 0.0000 x1
Ca 0.5000 0.5000 0.3950 x1
Re 0.0000 0.0000 0.6423 x1
As 0.5000 0.5000 0.7641 x1

Main lines, by intensity (10 to 90 degrees two-theta):
2θ 10.3, intensity 100
2θ 34.0, intensity 32
2θ 41.6, intensity 25
2θ 38.1, intensity 23
2θ 39.6, intensity 17
2θ 71.2, intensity 10
2θ 66.2, intensity 9
2θ 28.7, intensity 9
2θ 20.8, intensity 8
2θ 54.9, intensity 8



(12)
Structure and theoretical X-ray diffraction stick pattern of Ca3As5Rh6 (a DFT-relaxed cell (GGA-PBE, Alexandria); λ = 1.5418 Å (Cu Kα)).
Peak positions follow from Bragg's law for the DFT cell and can differ from measured ones.

Crystal structure
a = 4.0197 Å, b = 12.6480 Å, c = 10.0028 Å
α = 90.00°, β = 90.00°, γ = 90.00°
Space group Pmmn (No. 59, origin choice 2)
Asymmetric unit:
Ca 0.2500 0.0942 0.2500 x4
Ca 0.2500 0.7500 0.2391 x2
As 0.2500 0.0762 0.6545 x4
As 0.2500 0.6305 0.9810 x4
As 0.2500 0.7500 0.6248 x2
Rh 0.2500 0.0491 0.9009 x4
Rh 0.2500 0.2500 0.0096 x2
Rh 0.2500 0.2500 0.5195 x2
Rh 0.2500 0.5825 0.4912 x4

Main lines, by intensity (10 to 90 degrees two-theta):
2θ 35.7, intensity 100
2θ 17.7, intensity 73
2θ 48.0, intensity 51
2θ 45.1, intensity 41
2θ 35.0, intensity 27
2θ 43.2, intensity 23
2θ 42.9, intensity 23
2θ 34.3, intensity 17
2θ 31.9, intensity 15
2θ 42.2, intensity 15